Simulated XRD peak list
Compound: Zn3Fe4Mo6O24
Radiation: Cu Kα (weighted mean of Kα1 and Kα2)
Structure: a crystal structure in the Materials Project, relaxed with PBE+U

Structural model:
```
Zn3Fe4Mo6O24
1.0
7.093 0.000 0.000
-1.830 8.099 0.000
-2.592 -3.226 9.460
Zn Fe Mo O
3 4 6 24
direct
0.000 0.000 0.000
0.286 0.785 0.291
0.714 0.215 0.709
0.048 0.714 0.508
0.377 0.457 0.108
0.623 0.543 0.892
0.952 0.286 0.492
0.105 0.595 0.829
0.221 0.160 0.777
0.404 0.227 0.379
0.596 0.773 0.621
0.779 0.840 0.223
0.895 0.405 0.171
0.008 0.235 0.680
0.078 0.568 0.646
0.124 0.814 0.916
0.125 0.531 0.153
0.183 0.943 0.672
0.202 0.196 0.963
0.237 0.288 0.468
0.278 0.008 0.253
0.327 0.539 0.918
0.360 0.758 0.487
0.448 0.364 0.276
0.488 0.274 0.781
0.512 0.726 0.219
0.552 0.636 0.724
0.640 0.242 0.513
0.673 0.461 0.082
0.722 0.992 0.747
0.763 0.712 0.532
0.798 0.804 0.037
0.817 0.057 0.328
0.875 0.469 0.847
0.876 0.186 0.084
0.922 0.432 0.354
0.992 0.765 0.320
```

Main lines, in order of rising 2θ (10 to 80 degrees two-theta):
2θ 23.08, rel. 198, hkl 1 -2 0
2θ 24.57, rel. 172, hkl 1 -1 2
2θ 25.76, rel. 416, hkl 2 0 -1
2θ 26.18, rel. 221, hkl 2 -1 0
2θ 26.88, rel. 640, hkl 0 1 -3
2θ 27.80, rel. 1000, hkl 0 2 1
2θ 34.07, rel. 164, hkl 0 3 -2
2θ 51.76, rel. 200, hkl -4 1 1

***

Simulated XRD peak list
Compound: NdMnO3
Radiation: Cu Kα (weighted mean of Kα1 and Kα2)
Structure: a crystal structure in the Materials Project, relaxed with PBE+U

Structural model:
```
NdMnO3
1.0
7.900 0.000 0.000
0.000 5.500 0.000
-0.056 0.000 5.658
Nd Mn O
4 4 12
direct
0.248 0.016 0.447
0.248 0.484 0.947
0.752 0.516 0.053
0.752 0.984 0.553
0.000 0.000 0.000
0.000 0.500 0.500
0.500 0.000 0.000
0.500 0.500 0.500
0.053 0.213 0.705
0.053 0.287 0.205
0.240 0.594 0.527
0.240 0.906 0.027
0.451 0.212 0.710
0.451 0.288 0.210
0.549 0.712 0.790
0.549 0.788 0.290
0.760 0.094 0.973
0.760 0.406 0.473
0.947 0.713 0.795
0.947 0.787 0.295
```

Main lines, in order of rising 2θ (10 to 80 degrees two-theta):
2θ 22.53, rel. 548, hkl 2 0 0
2θ 31.63, rel. 401, hkl 0 0 2
2θ 31.96, rel. 1000, hkl 2 1 -1
2θ 32.19, rel. 958, hkl 2 1 1
2θ 32.56, rel. 455, hkl 0 2 0
2θ 39.95, rel. 226, hkl 2 2 0
2θ 46.00, rel. 720, hkl 4 0 0
2θ 57.45, rel. 220, hkl 4 2 0

***

Simulated XRD peak list
Compound: K2P4PtWClO10
Radiation: Cu Kα (weighted mean of Kα1 and Kα2)
Structure: a crystal structure in the Materials Project, relaxed with PBE+U

Structural model:
```
K2P4PtWClO10
1.0
8.410 0.000 0.000
4.018 8.178 0.000
2.955 2.836 9.337
K P Pt W Cl O
4 8 2 2 2 20
direct
0.119 0.236 0.044
0.227 0.765 0.145
0.773 0.235 0.855
0.881 0.764 0.956
0.218 0.305 0.377
0.242 0.199 0.677
0.296 0.907 0.394
0.301 0.808 0.712
0.699 0.192 0.288
0.704 0.093 0.606
0.758 0.801 0.323
0.782 0.695 0.623
0.492 0.048 0.356
0.508 0.952 0.644
0.214 0.612 0.593
0.786 0.388 0.407
0.485 0.144 0.096
0.515 0.856 0.904
0.047 0.335 0.314
0.118 0.176 0.815
0.124 0.262 0.548
0.169 0.000 0.287
0.169 0.833 0.844
0.183 0.884 0.567
0.244 0.470 0.334
0.291 0.358 0.652
0.355 0.706 0.410
0.364 0.611 0.717
0.636 0.389 0.283
0.645 0.294 0.590
0.709 0.642 0.348
0.756 0.530 0.666
0.817 0.116 0.433
0.831 0.000 0.713
0.831 0.167 0.156
0.876 0.738 0.452
0.882 0.824 0.185
0.953 0.665 0.686
```

Main lines, in order of rising 2θ (10 to 80 degrees two-theta):
2θ 14.05, rel. 528, hkl 1 0 1
2θ 19.26, rel. 941, hkl 1 -1 0
2θ 19.64, rel. 657, hkl 1 2 1
2θ 20.81, rel. 814, hkl -1 1 1
2θ 21.32, rel. 1000, hkl 1 2 0
2θ 26.45, rel. 704, hkl 1 1 3
2θ 32.84, rel. 660, hkl 0 3 1
2θ 38.22, rel. 579, hkl 2 1 4